Li3CrO4: computed PXRD pattern (Cu Kα (weighted mean of Kα1 and Kα2)), based on a crystal structure in Alexandria, relaxed with GGA+U.
Neutral-atom scattering factors, no anomalous dispersion.

Crystal structure
a = 5.1381 Å, b = 5.4408 Å, c = 7.8411 Å
α = 82.83°, β = 72.10°, γ = 63.94°
Space group P1 (No. 1)
Asymmetric unit:
Li1 0.0000 0.0000 0.0000 [1 per cell]
Li2 0.0160 0.5287 0.1655 [1 per cell]
Li3 0.3501 0.4720 0.4188 [1 per cell]
Li4 0.5899 0.8959 0.7997 [1 per cell]
Li5 0.7765 0.8982 0.4616 [1 per cell]
Li6 0.8423 0.3955 0.5322 [1 per cell]
Cr1 0.2255 0.4805 0.7672 [1 per cell]
Cr2 0.4010 0.9214 0.2307 [1 per cell]
O1 0.0921 0.3154 0.9464 [1 per cell]
O2 0.1166 0.8308 0.2316 [1 per cell]
O3 0.2256 0.2441 0.3258 [1 per cell]
O4 0.3130 0.7245 0.8137 [1 per cell]
O5 0.5515 0.2313 0.6211 [1 per cell]
O6 0.6114 0.6772 0.3618 [1 per cell]
O7 0.6597 0.9118 0.0311 [1 per cell]
O8 0.9738 0.6247 0.6324 [1 per cell]

Most intense lines, 10° ≤ 2θ ≤ 90°, low angle first:
2θ/deg  I/Imax
20.06  65
20.57  33
20.85  85
21.62  76
21.86  74
23.85  48
26.50  100
44.39  41

---

Li3CrO4: computed PXRD pattern (Cu Kα (weighted mean of Kα1 and Kα2)), based on a crystal structure in Alexandria, relaxed with GGA+U.
Neutral-atom scattering factors, no anomalous dispersion.

Crystal structure
a = 5.8016 Å, b = 5.8016 Å, c = 8.2201 Å
α = 90.00°, β = 90.00°, γ = 90.00°
Space group P4_122 (No. 91)
Asymmetric unit:
Li1 0.0000 0.2392 0.0000 [4 per cell]
Li2 0.0000 0.2547 0.5000 [4 per cell]
Li3 0.2514 0.5000 0.7500 [4 per cell]
Cr1 0.2247 0.5000 0.2500 [4 per cell]
O1 0.0223 0.2707 0.2436 [8 per cell]
O2 0.2703 0.4924 0.4795 [8 per cell]

Most intense lines, 10° ≤ 2θ ≤ 90°, low angle first:
2θ/deg  I/Imax
15.27  42
18.72  71
24.25  68
26.58  40
36.29  25
44.12  100
64.17  48
81.17  13

---

Li8CrO6: computed PXRD pattern (Cu Kα (weighted mean of Kα1 and Kα2)), based on a crystal structure in Alexandria, relaxed with GGA+U.
Neutral-atom scattering factors, no anomalous dispersion.

Crystal structure
a = 5.5791 Å, b = 5.5791 Å, c = 10.8570 Å
α = 90.00°, β = 90.00°, γ = 120.00°
Space group P6_3cm (No. 185)
Asymmetric unit:
Li1 0.0000 0.3128 0.0000 [6 per cell]
Li2 0.0000 0.3921 0.3616 [6 per cell]
Li3 0.3333 0.6667 0.1401 [4 per cell]
Cr1 0.0000 0.0000 0.2281 [2 per cell]
O1 0.0000 0.0000 0.3987 [2 per cell]
O2 0.0000 0.3090 0.1830 [6 per cell]
O3 0.3333 0.6667 0.4499 [4 per cell]

Most intense lines, 10° ≤ 2θ ≤ 90°, low angle first:
2θ/deg  I/Imax
16.33  22
18.36  71
24.67  100
32.09  37
33.00  29
33.16  33
40.88  23
57.20  32

---

Li2Cr4O13: computed PXRD pattern (Cu Kα (weighted mean of Kα1 and Kα2)), based on a crystal structure in Alexandria, relaxed with GGA+U.
Neutral-atom scattering factors, no anomalous dispersion.

Crystal structure
a = 8.2875 Å, b = 19.9296 Å, c = 8.5959 Å
α = 90.00°, β = 90.00°, γ = 90.00°
Space group C222_1 (No. 20)
Asymmetric unit:
Li1 0.2116 0.1768 0.4315 [8 per cell]
Cr1 0.2077 0.0642 0.7508 [8 per cell]
Cr2 0.2152 0.1584 0.0547 [8 per cell]
O1 0.0000 0.0427 0.7500 [4 per cell]
O2 0.0204 0.1575 0.0736 [8 per cell]
O3 0.1920 0.4991 0.1941 [8 per cell]
O4 0.2000 0.3462 0.7249 [8 per cell]
O5 0.2288 0.2736 0.4650 [8 per cell]
O6 0.2302 0.4151 0.4374 [8 per cell]
O7 0.2401 0.1266 0.6351 [8 per cell]

Most intense lines, 10° ≤ 2θ ≤ 90°, low angle first:
2θ/deg  I/Imax
11.56  27
15.50  34
20.00  66
20.60  91
21.44  100
22.53  54
29.91  27
32.50  33

---

Li2CrO3: computed PXRD pattern (Cu Kα (weighted mean of Kα1 and Kα2)), based on a crystal structure in Alexandria, relaxed with GGA+U.
Neutral-atom scattering factors, no anomalous dispersion.

Crystal structure
a = 5.2195 Å, b = 8.6153 Å, c = 5.0236 Å
α = 90.00°, β = 112.17°, γ = 90.00°
Space group Cc (No. 9)
Asymmetric unit:
Li1 0.0000 0.0821 0.0000 [4 per cell]
Li2 0.0131 0.2445 0.4835 [4 per cell]
Cr1 0.0233 0.4091 0.9946 [4 per cell]
O1 0.2360 0.4241 0.7446 [4 per cell]
O2 0.2575 0.2541 0.2221 [4 per cell]
O3 0.3009 0.0686 0.7091 [4 per cell]

Most intense lines, 10° ≤ 2θ ≤ 90°, low angle first:
2θ/deg  I/Imax
20.62  14
21.08  100
23.35  30
28.23  49
42.57  36
44.75  66
62.43  18
64.51  16

---

Li3CrO4: computed PXRD pattern (Cu Kα (weighted mean of Kα1 and Kα2)), based on a crystal structure in Alexandria, relaxed with GGA+U.
Neutral-atom scattering factors, no anomalous dispersion.

Crystal structure
a = 8.0527 Å, b = 8.2709 Å, c = 9.2221 Å
α = 90.00°, β = 114.40°, γ = 90.00°
Space group C2/c (No. 15)
Asymmetric unit:
Li1 0.0650 0.1117 0.1214 [8 per cell]
Li2 0.1824 0.3737 0.3629 [8 per cell]
Li3 0.1840 0.1290 0.8716 [8 per cell]
Cr1 0.0634 0.3606 0.6138 [8 per cell]
O1 0.0517 0.3789 0.1042 [8 per cell]
O2 0.0596 0.1423 0.6165 [8 per cell]
O3 0.1558 0.3796 0.8586 [8 per cell]
O4 0.2111 0.1176 0.3618 [8 per cell]

Most intense lines, 10° ≤ 2θ ≤ 90°, low angle first:
2θ/deg  I/Imax
16.15  100
21.92  67
23.99  42
24.77  34
43.08  51
43.78  50
45.05  43
63.12  36

---

Li4Cr5O10: computed PXRD pattern (Cu Kα (weighted mean of Kα1 and Kα2)), based on a crystal structure in Alexandria, relaxed with GGA+U.
Neutral-atom scattering factors, no anomalous dispersion.

Crystal structure
a = 6.6270 Å, b = 6.6548 Å, c = 8.9215 Å
α = 85.53°, β = 81.39°, γ = 72.22°
Space group P-1 (No. 2)
Asymmetric unit:
Li1 0.0409 0.1095 0.3483 [2 per cell]
Li2 0.1476 0.3091 0.0468 [2 per cell]
Li3 0.3551 0.6891 0.4585 [2 per cell]
Li4 0.4534 0.8918 0.1533 [2 per cell]
Cr1 0.0000 0.5000 0.5000 [1 per cell]
Cr2 0.0955 0.6975 0.2010 [2 per cell]
Cr3 0.1982 0.8957 0.8992 [2 per cell]
Cr4 0.3021 0.1048 0.5999 [2 per cell]
Cr5 0.4044 0.3004 0.2989 [2 per cell]
Cr6 0.5000 0.5000 0.0000 [1 per cell]
O1 0.0167 0.7866 0.4167 [2 per cell]
O2 0.0896 0.4171 0.2798 [2 per cell]
O3 0.1166 0.9828 0.1212 [2 per cell]
O4 0.1780 0.6124 0.9912 [2 per cell]
O5 0.2075 0.1847 0.8203 [2 per cell]
O6 0.2821 0.8211 0.6800 [2 per cell]
O7 0.3178 0.3886 0.5114 [2 per cell]
O8 0.3829 0.0113 0.3803 [2 per cell]
O9 0.3985 0.5964 0.2163 [2 per cell]
O10 0.4869 0.2117 0.0788 [2 per cell]

Most intense lines, 10° ≤ 2θ ≤ 90°, low angle first:
2θ/deg  I/Imax
18.24  100
35.45  25
35.60  12
43.00  48
43.25  23
56.80  11
62.52  18
62.74  13